Computed powder X-ray diffraction pattern
Compound: DyMn2O4
Radiation: Cu Kα X-rays
Structure: a DFT-relaxed cell (GGA+U, the Materials Project)

Crystal structure
```
DyMn2O4
1.0
1.8009 1.0398 8.3725
-1.8009 1.0398 8.3725
0.0000 -2.0795 8.3725
Dy Mn O
1 2 4
Direct
0.0000 0.0000 0.0000 Dy
0.2137 0.2137 0.2137 Mn
0.7863 0.7863 0.7863 Mn
0.1302 0.1302 0.1302 O
0.2929 0.2929 0.2929 O
0.7071 0.7071 0.7071 O
0.8698 0.8698 0.8698 O
```

Principal peaks in the range 2θ from 5° to 70°, in order of rising 2θ:
| 2θ (°) | I/Imax |
| --- | --- |
| 10.6 | 45 |
| 21.2 | 30 |
| 28.8 | 80 |
| 32.0 | 100 |
| 33.8 | 58 |
| 38.2 | 11 |
| 40.8 | 17 |
| 46.4 | 34 |
| 50.7 | 44 |
| 55.5 | 13 |
| 59.4 | 33 |
| 61.2 | 40 |

=====

Computed powder X-ray diffraction pattern
Compound: Dy2Mn2O7
Radiation: Cu Kα X-rays
Structure: a DFT-relaxed cell (GGA+U, the Materials Project)

Crystal structure
```
Dy2Mn2O7
1.0
0.0000 5.0176 5.0176
5.0176 0.0000 5.0176
5.0176 5.0176 0.0000
Dy Mn O
4 4 14
Direct
0.0000 0.0000 0.0000 Dy
0.0000 0.0000 0.5000 Dy
0.0000 0.5000 0.0000 Dy
0.5000 0.0000 0.0000 Dy
0.0000 0.5000 0.5000 Mn
0.5000 0.0000 0.5000 Mn
0.5000 0.5000 0.0000 Mn
0.5000 0.5000 0.5000 Mn
0.1250 0.1250 0.1250 O
0.1700 0.1700 0.5800 O
0.1700 0.5800 0.1700 O
0.1700 0.5800 0.5800 O
0.4200 0.4200 0.8300 O
0.4200 0.8300 0.4200 O
0.4200 0.8300 0.8300 O
0.5800 0.1700 0.1700 O
0.5800 0.1700 0.5800 O
0.5800 0.5800 0.1700 O
0.8300 0.4200 0.4200 O
0.8300 0.4200 0.8300 O
0.8300 0.8300 0.4200 O
0.8750 0.8750 0.8750 O
```

Principal peaks in the range 2θ from 5° to 70°, in order of rising 2θ:
| 2θ (°) | I/Imax |
| --- | --- |
| 15.3 | 24 |
| 29.5 | 13 |
| 30.9 | 100 |
| 35.8 | 30 |
| 39.1 | 17 |
| 47.1 | 9 |
| 51.5 | 47 |
| 54.1 | 8 |
| 60.5 | 2 |
| 61.3 | 41 |
| 64.3 | 9 |
| 66.5 | 4 |

=====

Computed powder X-ray diffraction pattern
Compound: DyMnO3
Radiation: Cu Kα X-rays
Structure: a DFT-relaxed cell (GGA+U, the Materials Project)

Crystal structure
```
DyMnO3
1.0
6.0086 0.0000 0.0000
0.0000 12.9944 0.0000
0.0000 0.0000 3.4001
Dy Mn O
4 4 12
Direct
0.1916 0.2500 0.2448 Dy
0.3084 0.7500 0.7448 Dy
0.6916 0.2500 0.2552 Dy
0.8084 0.7500 0.7552 Dy
0.0000 0.0000 0.5000 Mn
0.0000 0.5000 0.5000 Mn
0.5000 0.0000 0.0000 Mn
0.5000 0.5000 0.0000 Mn
0.0495 0.7500 0.2550 O
0.2452 0.0781 0.2400 O
0.2452 0.4219 0.2400 O
0.2548 0.5781 0.7400 O
0.2548 0.9219 0.7400 O
0.4505 0.2500 0.7550 O
0.5495 0.7500 0.2450 O
0.7452 0.0781 0.2600 O
0.7452 0.4219 0.2600 O
0.7548 0.5781 0.7600 O
0.7548 0.9219 0.7600 O
0.9505 0.2500 0.7450 O
```

Principal peaks in the range 2θ from 5° to 70°, in order of rising 2θ:
| 2θ (°) | I/Imax |
| --- | --- |
| 13.6 | 96 |
| 27.1 | 100 |
| 27.5 | 94 |
| 30.5 | 28 |
| 32.8 | 49 |
| 33.5 | 27 |
| 40.7 | 58 |
| 42.5 | 32 |
| 43.8 | 29 |
| 52.1 | 24 |
| 53.9 | 33 |
| 55.9 | 24 |

=====

Computed powder X-ray diffraction pattern
Compound: SrDyMn4O12
Radiation: Cu Kα X-rays
Structure: a DFT-relaxed cell (GGA+U, the Materials Project)

Crystal structure
```
SrDyMn4O12
1.0
5.3457 0.0000 0.0000
0.0000 5.3457 0.0000
0.0000 0.0000 7.5636
Sr Dy Mn O
1 1 4 12
Direct
0.0000 0.0000 0.0000 Sr
0.5000 0.5000 0.5000 Dy
0.0000 0.5000 0.2487 Mn
0.0000 0.5000 0.7513 Mn
0.5000 0.0000 0.2487 Mn
0.5000 0.0000 0.7513 Mn
0.0000 0.5000 0.0000 O
0.0000 0.5000 0.5000 O
0.2594 0.2594 0.2688 O
0.2594 0.2594 0.7312 O
0.2594 0.7406 0.2688 O
0.2594 0.7406 0.7312 O
0.5000 0.0000 0.0000 O
0.5000 0.0000 0.5000 O
0.7406 0.2594 0.2688 O
0.7406 0.2594 0.7312 O
0.7406 0.7406 0.2688 O
0.7406 0.7406 0.7312 O
```

Principal peaks in the range 2θ from 5° to 70°, in order of rising 2θ:
| 2θ (°) | I/Imax |
| --- | --- |
| 11.7 | 9 |
| 16.6 | 7 |
| 20.3 | 88 |
| 26.4 | 4 |
| 33.5 | 100 |
| 39.5 | 47 |
| 41.4 | 10 |
| 48.1 | 45 |
| 49.7 | 3 |
| 52.8 | 21 |
| 59.9 | 38 |
| 64.0 | 16 |

=====

Computed powder X-ray diffraction pattern
Compound: Sr3DyMn2O8
Radiation: Cu Kα X-rays
Structure: a DFT-relaxed cell (GGA+U, the Materials Project)

Crystal structure
```
Sr3DyMn2O8
1.0
5.5258 0.0000 0.0000
0.0000 2.7493 6.1267
0.0000 -2.7493 6.1267
Sr Dy Mn O
3 1 2 8
Direct
0.0000 0.0000 0.0000 Sr
0.0000 0.2883 0.2883 Sr
0.5000 0.7905 0.7905 Sr
0.5000 0.5111 0.5111 Dy
0.0000 0.6444 0.6444 Mn
0.5000 0.1447 0.1447 Mn
0.0000 0.4838 0.4838 O
0.0000 0.8019 0.8019 O
0.2612 0.3946 0.8822 O
0.2612 0.8822 0.3946 O
0.5000 0.3226 0.3226 O
0.5000 0.9855 0.9855 O
0.7388 0.3946 0.8822 O
0.7388 0.8822 0.3946 O
```

Principal peaks in the range 2θ from 5° to 70°, in order of rising 2θ:
| 2θ (°) | I/Imax |
| --- | --- |
| 24.0 | 19 |
| 31.7 | 100 |
| 32.4 | 39 |
| 32.6 | 38 |
| 43.6 | 16 |
| 44.1 | 16 |
| 44.3 | 28 |
| 46.6 | 41 |
| 56.0 | 14 |
| 57.4 | 19 |
| 57.6 | 19 |
| 66.3 | 13 |

=====

Computed powder X-ray diffraction pattern
Compound: Sr2DyMnO6
Radiation: Cu Kα X-rays
Structure: a DFT-relaxed cell (GGA+U, the Materials Project)

Crystal structure
```
Sr2DyMnO6
1.0
0.0000 4.1065 4.1065
4.1065 0.0000 4.1065
4.1065 4.1065 0.0000
Sr Dy Mn O
2 1 1 6
Direct
0.2500 0.2500 0.2500 Sr
0.7500 0.7500 0.7500 Sr
0.0000 0.0000 0.0000 Dy
0.5000 0.5000 0.5000 Mn
0.2674 0.2674 0.7326 O
0.2674 0.7326 0.2674 O
0.2674 0.7326 0.7326 O
0.7326 0.2674 0.2674 O
0.7326 0.2674 0.7326 O
0.7326 0.7326 0.2674 O
```

Principal peaks in the range 2θ from 5° to 70°, in order of rising 2θ:
| 2θ (°) | I/Imax |
| --- | --- |
| 18.7 | 14 |
| 21.6 | 6 |
| 30.8 | 100 |
| 36.3 | 11 |
| 38.0 | 1 |
| 44.1 | 33 |
| 48.3 | 7 |
| 49.6 | 2 |
| 54.8 | 39 |
| 58.4 | 3 |
| 64.1 | 20 |
| 67.5 | 3 |

=====

Computed powder X-ray diffraction pattern
Compound: DyYMn2O6
Radiation: Cu Kα X-rays
Structure: a DFT-relaxed cell (GGA+U, the Materials Project)

Crystal structure
```
DyYMn2O6
1.0
6.2294 0.0000 0.0000
-3.1147 5.3948 0.0000
0.0000 0.0000 11.5724
Dy Y Mn O
3 3 6 18
Direct
0.0000 0.0000 0.0000 Dy
0.0000 0.0000 0.5001 Dy
0.6667 0.3333 0.4569 Dy
0.3333 0.6667 0.4576 Y
0.3333 0.6667 0.9574 Y
0.6667 0.3333 0.9573 Y
0.9999 0.3336 0.7254 Mn
0.0000 0.6664 0.2257 Mn
0.3337 0.0001 0.7254 Mn
0.3336 0.3336 0.2257 Mn
0.6664 0.0000 0.2257 Mn
0.6664 0.6663 0.7254 Mn
0.0000 0.0000 0.2009 O
0.0000 0.0000 0.7007 O
0.0000 0.3070 0.8899 O
0.9999 0.6413 0.0613 O
0.9996 0.6926 0.3900 O
0.3069 0.0000 0.8899 O
0.3074 0.3070 0.3900 O
0.3333 0.6667 0.2455 O
0.3333 0.6667 0.7452 O
0.3592 0.0008 0.5611 O
0.3587 0.3586 0.0613 O
0.6414 0.0001 0.0613 O
0.6416 0.6408 0.5611 O
0.6667 0.3333 0.2459 O
0.6667 0.3333 0.7453 O
0.6930 0.0004 0.3900 O
0.6930 0.6931 0.8899 O
0.9992 0.3584 0.5611 O
```

Principal peaks in the range 2θ from 5° to 70°, in order of rising 2θ:
| 2θ (°) | I/Imax |
| --- | --- |
| 15.3 | 26 |
| 22.5 | 16 |
| 28.7 | 43 |
| 29.7 | 35 |
| 30.9 | 32 |
| 32.7 | 100 |
| 42.7 | 32 |
| 50.2 | 10 |
| 50.8 | 45 |
| 56.1 | 19 |
| 60.6 | 27 |
| 61.7 | 17 |

=====

Computed powder X-ray diffraction pattern
Compound: Dy2Mo3O12
Radiation: Cu Kα X-rays
Structure: a DFT-relaxed cell (GGA+U, the Materials Project)

Crystal structure
```
Dy2Mo3O12
1.0
7.4538 0.0000 0.0000
0.0000 7.4538 0.0000
0.0000 0.0000 10.7295
Dy Mo O
4 6 24
Direct
0.1879 0.3121 0.2620 Dy
0.3121 0.8121 0.7380 Dy
0.6879 0.1879 0.7380 Dy
0.8121 0.6879 0.2620 Dy
0.0000 0.0000 0.0000 Mo
0.2072 0.2928 0.6429 Mo
0.2928 0.7928 0.3571 Mo
0.5000 0.5000 0.0000 Mo
0.7072 0.2072 0.3571 Mo
0.7928 0.7072 0.6429 Mo
0.0060 0.7755 0.7014 O
0.0430 0.1893 0.0983 O
0.1256 0.6256 0.3097 O
0.1893 0.9570 0.9017 O
0.1952 0.3048 0.4774 O
0.2245 0.0060 0.2986 O
0.2755 0.5060 0.7014 O
0.3048 0.8048 0.5226 O
0.3107 0.4570 0.0983 O
0.3744 0.1256 0.6903 O
0.4570 0.6893 0.9017 O
0.4940 0.2755 0.2986 O
0.5060 0.7245 0.2986 O
0.5430 0.3107 0.9017 O
0.6256 0.8744 0.6903 O
0.6893 0.5430 0.0983 O
0.6952 0.1952 0.5226 O
0.7245 0.4940 0.7014 O
0.7755 0.9940 0.2986 O
0.8048 0.6952 0.4774 O
0.8107 0.0430 0.9017 O
0.8744 0.3744 0.3097 O
0.9570 0.8107 0.0983 O
0.9940 0.2245 0.7014 O
```

Principal peaks in the range 2θ from 5° to 70°, in order of rising 2θ:
| 2θ (°) | I/Imax |
| --- | --- |
| 16.5 | 68 |
| 18.8 | 89 |
| 23.7 | 70 |
| 23.9 | 71 |
| 24.9 | 46 |
| 25.3 | 77 |
| 26.7 | 100 |
| 29.2 | 94 |
| 30.2 | 77 |
| 31.6 | 56 |
| 44.4 | 47 |
| 45.6 | 53 |